# 1
This entry pairs a crystal structure of Al5Rh2 with its simulated XRD peak list. Radiation: Cu Kα (λ = 1.5418 Å). Structure: a structure optimized by DFT (GGA-PBE).
Kinematic intensities with the Lorentz-polarization factor, no thermal factor.

Atomic structure:
Lattice parameters (Å, degrees): 7.9505 7.9505 7.8866 90.00 90.00 120.00
Space group P6_3/mmc (No. 194)
Inequivalent atoms, fractional coordinates:
Al (0.0000, 0.0000, 0.0000)
Al (0.0577, 0.5288, 0.2500)
Al (0.1926, 0.3852, 0.5587)
Rh (0.1299, 0.2598, 0.2500)
Rh (0.3333, 0.6667, 0.7500)

Principal peaks in the range 5° ≤ 2θ ≤ 70°, sorted by position:
(1 0 0), 2θ 12.9, intensity 30; (0 0 2), 2θ 22.5, intensity 52; (2 0 0), 2θ 25.9, intensity 19; (2 0 1), 2θ 28.3, intensity 100; (3 0 1), 2θ 41.0, intensity 53; (2 1 2), 2θ 41.6, intensity 63; (2 0 3), 2θ 43.3, intensity 77; (2 2 0), 2θ 45.6, intensity 37; (0 0 4), 2θ 46.0, intensity 18; (3 1 1), 2θ 49.1, intensity 16; (3 2 2), 2θ 63.4, intensity 11; (2 2 4), 2θ 66.8, intensity 13



# 2
This entry pairs a crystal structure of Ac3B2HO8 with its simulated XRD peak list. Radiation: Cu Kα (λ = 1.5418 Å). Structure: a structure optimized by DFT (GGA-PBE).
Kinematic intensities with the Lorentz-polarization factor, no thermal factor.

Atomic structure:
Lattice parameters (Å, degrees): 5.3093 5.3093 6.8331 90.00 90.00 120.00
Space group P-3m1 (No. 164)
Inequivalent atoms, fractional coordinates:
Ac (0.0000, 0.0000, 0.0000)
Ac (0.3333, 0.6667, 0.6550)
B (0.3333, 0.6667, 0.2182)
H (0.0000, 0.0000, 0.5000)
O (0.1797, 0.3594, 0.3012)
O (0.3333, 0.6667, 0.0068)

Principal peaks in the range 5° ≤ 2θ ≤ 70°, sorted by position:
(1 0 1), 2θ 23.3, intensity 100; (0 1 2), 2θ 32.7, intensity 51; (1 1 0), 2θ 33.8, intensity 54; (0 0 3), 2θ 39.6, intensity 14; (0 2 1), 2θ 41.4, intensity 35; (2 0 2), 2θ 47.7, intensity 25; (1 1 3), 2θ 53.0, intensity 28; (2 1 1), 2θ 54.5, intensity 23; (1 0 4), 2θ 57.6, intensity 10; (1 2 2), 2θ 59.7, intensity 19; (3 0 0), 2θ 60.4, intensity 10; (0 2 4), 2θ 68.4, intensity 7



# 3
This entry pairs a crystal structure of Pu3PaPt4 with its simulated XRD peak list. Radiation: Cu Kα (λ = 1.5418 Å). Structure: a structure optimized by DFT (GGA-PBE).
Kinematic intensities with the Lorentz-polarization factor, no thermal factor.

Atomic structure:
Lattice parameters (Å, degrees): 4.650 6.973 10.219 90.00 90.00 90.00
Space group Pmma (No. 51)
Inequivalent atoms, fractional coordinates:
Pu (0.250, 0.000, 0.139)
Pu (0.250, 0.000, 0.673)
Pu (0.250, 0.500, 0.639)
Pa (0.250, 0.500, 0.178)
Pt (0.250, 0.223, 0.410)
Pt (0.250, 0.284, 0.912)

Principal peaks in the range 5° ≤ 2θ ≤ 70°, sorted by position:
(0 2 2), 2θ 31.1, intensity 16; (0 0 4), 2θ 35.1, intensity 25; (1 2 2), 2θ 36.7, intensity 100; (2 0 0), 2θ 38.7, intensity 29; (1 0 4), 2θ 40.3, intensity 26; (2 2 2), 2θ 50.5, intensity 8; (0 4 0), 2θ 52.5, intensity 9; (2 0 4), 2θ 53.3, intensity 9; (0 2 6), 2θ 60.5, intensity 10; (2 4 0), 2θ 67.1, intensity 9; (1 4 4), 2θ 68.2, intensity 8; (3 2 2), 2θ 68.8, intensity 20



# 4
This entry pairs a crystal structure of Mn21Re2C6 with its simulated XRD peak list. Radiation: Cu Kα (λ = 1.5418 Å). Structure: a structure optimized by DFT (GGA-PBE).
Kinematic intensities with the Lorentz-polarization factor, no thermal factor.

Atomic structure:
Lattice parameters (Å, degrees): 10.443 10.443 10.443 90.00 90.00 90.00
Space group Fm-3m (No. 225)
Inequivalent atoms, fractional coordinates:
Mn (0.000, 0.000, 0.000)
Mn (0.000, 0.169, 0.169)
Mn (0.116, 0.116, 0.384)
Re (0.250, 0.250, 0.250)
C (0.000, 0.000, 0.274)

Principal peaks in the range 5° ≤ 2θ ≤ 70°, sorted by position:
(2 0 0), 2θ 17.0, intensity 43; (2 2 0), 2θ 24.1, intensity 34; (2 2 2), 2θ 29.6, intensity 9; (4 2 0), 2θ 38.6, intensity 99; (4 2 2), 2θ 42.4, intensity 94; (3 3 3), 2θ 45.1, intensity 100; (4 4 0), 2θ 49.4, intensity 51; (5 3 1), 2θ 51.8, intensity 26; (6 0 0), 2θ 52.6, intensity 4; (6 2 0), 2θ 55.7, intensity 20; (6 2 2), 2θ 58.6, intensity 31; (6 4 2), 2θ 67.1, intensity 11